Calculated X-ray diffraction stick pattern
Compound: CuSnHg2S4
Radiation: a wavelength of 1.5418 Å
Structure: a GGA-PBE-relaxed structure
No peak broadening, texture or thermal motion is included.

Atomic structure:
```
data_CuSnHg2S4
_cell_length_a 8.4755
_cell_length_b 7.0949
_cell_length_c 6.6657
_cell_angle_alpha 90.00
_cell_angle_beta 90.00
_cell_angle_gamma 90.00
_symmetry_space_group_name_H-M 'P m n 21'
_symmetry_Int_Tables_number 31
loop_
_symmetry_equiv_pos_as_xyz
'x,y,z'
'-x+1/2,-y,z+1/2'
'-x,y,z'
'x+1/2,-y,z+1/2'
loop_
_atom_site_label
_atom_site_fract_x
_atom_site_fract_y
_atom_site_fract_z
Cu1 0.0000 0.1614 0.0000
Sn1 0.0000 0.8170 0.4894
Hg1 0.2490 0.3301 0.4978
S1 0.0000 0.1581 0.3516
S2 0.0000 0.8566 0.8794
S3 0.2174 0.3194 0.8894
```

Peak list (10 most intense, 2θ = 10–80°, most intense first)
2θ (°)	I_rel	(hkl)
27.9	100	2 1 1
26.7	54	0 0 2
52.1	51	2 3 2
24.5	43	2 1 0
28.5	41	0 2 1
48.0	40	2 1 3
43.8	39	2 3 0
25.1	25	0 2 0
42.7	23	4 0 0
36.6	21	2 1 2